[1]
Starting from a GGA+U-relaxed structure, the X-ray powder pattern of LiNiPO4 was computed for λ = 1.5418 Å (Cu Kα).
Intensities are scaled so that the largest is 100.

Most intense lines, 2θ from 10° to 80°, sorted by position:
2θ 20.18, I = 38
2θ 22.17, I = 100
2θ 22.79, I = 34
2θ 26.37, I = 79
2θ 31.20, I = 78
2θ 35.13, I = 70
2θ 38.99, I = 32
2θ 49.67, I = 28
2θ 67.24, I = 35
2θ 70.43, I = 19

Structure:
```
data_LiNiPO4
_cell_length_a 13.5167
_cell_length_b 13.5167
_cell_length_c 9.4971
_cell_angle_alpha 90.00
_cell_angle_beta 90.00
_cell_angle_gamma 120.00
_symmetry_space_group_name_H-M 'R 3'
_symmetry_Int_Tables_number 146
_symmetry_space_group_name_Hall 'R 3'
loop_
_atom_site_label
_atom_site_fract_x
_atom_site_fract_y
_atom_site_fract_z
Li1 0.0171 0.2121 0.0000
Li2 0.1394 0.6863 0.1626
Ni1 0.0288 0.2093 0.3372
Ni2 0.1485 0.6841 0.5046
P1 0.0069 0.2057 0.6680
P2 0.1376 0.6814 0.8331
O1 0.0177 0.3486 0.3394
O2 0.0199 0.6753 0.8417
O3 0.0654 0.1962 0.8049
O4 0.0740 0.2066 0.5347
O5 0.1085 0.2187 0.1610
O6 0.1990 0.1236 0.3007
O7 0.2015 0.7418 0.6961
O8 0.2173 0.1163 0.6621
```

[2]
Starting from a GGA+U-relaxed structure, the X-ray powder pattern of LiNiPO4 was computed for λ = 1.5418 Å (Cu Kα).
Intensities are scaled so that the largest is 100.

Most intense lines, 2θ from 10° to 80°, sorted by position:
2θ 14.42, I = 61
2θ 17.46, I = 37
2θ 19.52, I = 49
2θ 20.74, I = 100
2θ 20.97, I = 75
2θ 24.35, I = 80
2θ 28.36, I = 62
2θ 29.08, I = 28
2θ 34.74, I = 49
2θ 36.34, I = 42

Structure:
```
data_LiNiPO4
_cell_length_a 5.221
_cell_length_b 7.509
_cell_length_c 8.639
_cell_angle_alpha 100.51
_cell_angle_beta 92.41
_cell_angle_gamma 97.48
_symmetry_space_group_name_H-M 'P 1'
_symmetry_Int_Tables_number 1
_symmetry_space_group_name_Hall 'P 1'
loop_
_atom_site_label
_atom_site_fract_x
_atom_site_fract_y
_atom_site_fract_z
Li1 0.000 0.000 0.000
Li2 0.171 0.507 0.811
Li3 0.410 0.561 0.531
Li4 0.581 0.069 0.342
Ni1 0.002 0.735 0.278
Ni2 0.009 0.165 0.586
Ni3 0.572 0.904 0.756
Ni4 0.579 0.333 0.064
P1 0.010 0.818 0.638
P2 0.101 0.316 0.259
P3 0.480 0.753 0.082
P4 0.572 0.251 0.703
O1 0.084 0.896 0.487
O2 0.156 0.523 0.335
O3 0.213 0.824 0.112
O4 0.232 0.723 0.696
O5 0.350 0.346 0.645
O6 0.369 0.246 0.230
O7 0.425 0.546 0.007
O8 0.497 0.173 0.854
O9 0.597 0.076 0.576
O10 0.634 0.860 0.972
O11 0.644 0.791 0.243
O12 0.744 0.699 0.614
O13 0.837 0.370 0.728
O14 0.937 0.277 0.099
O15 0.947 0.208 0.370
O16 0.984 0.993 0.765
```

[3]
Starting from a GGA+U-relaxed structure, the X-ray powder pattern of LiNiPO4 was computed for λ = 1.5418 Å (Cu Kα).
Intensities are scaled so that the largest is 100.

Most intense lines, 2θ from 10° to 80°, sorted by position:
2θ 11.28, I = 100
2θ 26.09, I = 22
2θ 28.50, I = 13
2θ 34.18, I = 13
2θ 37.12, I = 22
2θ 38.92, I = 12
2θ 43.93, I = 12
2θ 51.41, I = 14
2θ 60.78, I = 9
2θ 66.91, I = 9

Structure:
```
data_LiNiPO4
_cell_length_a 4.8442
_cell_length_b 4.8442
_cell_length_c 23.5282
_cell_angle_alpha 90.00
_cell_angle_beta 90.00
_cell_angle_gamma 120.00
_symmetry_space_group_name_H-M 'R -3'
_symmetry_Int_Tables_number 148
_symmetry_space_group_name_Hall '-R 3'
loop_
_atom_site_label
_atom_site_fract_x
_atom_site_fract_y
_atom_site_fract_z
Li1 0.0000 0.0000 0.2172
Ni1 0.0000 0.0000 0.3386
P1 0.0000 0.0000 0.0749
O1 0.0000 0.0000 0.1386
O2 0.0171 0.3694 0.6145
```

[4]
Starting from a GGA+U-relaxed structure, the X-ray powder pattern of Li6Ni9P8O32 was computed for λ = 1.5418 Å (Cu Kα).
Intensities are scaled so that the largest is 100.

Most intense lines, 2θ from 10° to 80°, sorted by position:
2θ 16.43, I = 100
2θ 21.81, I = 61
2θ 27.59, I = 50
2θ 27.73, I = 56
2θ 31.67, I = 48
2θ 31.90, I = 39
2θ 32.54, I = 61
2θ 33.63, I = 41
2θ 33.77, I = 49
2θ 42.03, I = 42

Structure:
```
data_Li6Ni9P8O32
_cell_length_a 8.685
_cell_length_b 8.764
_cell_length_c 9.145
_cell_angle_alpha 112.11
_cell_angle_beta 99.80
_cell_angle_gamma 102.06
_symmetry_space_group_name_H-M 'P -1'
_symmetry_Int_Tables_number 2
_symmetry_space_group_name_Hall '-P 1'
loop_
_atom_site_label
_atom_site_fract_x
_atom_site_fract_y
_atom_site_fract_z
Li1 0.019 0.219 0.255
Li2 0.322 0.815 0.353
Li3 0.362 0.599 0.972
Ni1 0.000 0.000 0.500
Ni2 0.000 0.500 0.000
Ni3 0.195 0.229 0.929
Ni4 0.298 0.645 0.583
Ni5 0.322 0.207 0.458
Ni6 0.500 0.000 0.000
P1 0.046 0.380 0.653
P2 0.167 0.879 0.090
P3 0.339 0.052 0.721
P4 0.391 0.457 0.284
O1 0.011 0.177 0.019
O2 0.098 0.379 0.826
O3 0.114 0.563 0.668
O4 0.117 0.244 0.538
O5 0.142 0.686 0.412
O6 0.150 0.016 0.705
O7 0.180 0.982 0.275
O8 0.210 0.712 0.077
O9 0.271 0.351 0.343
O10 0.278 0.982 0.023
O11 0.300 0.456 0.123
O12 0.380 0.057 0.567
O13 0.398 0.907 0.749
O14 0.418 0.227 0.876
O15 0.446 0.647 0.425
O16 0.456 0.601 0.741
```